# 1
For GaCu2P3, the GGA-PBE geometry in OQMD gives the theoretical powder diffraction line list in this record (Cu Kα (λ = 1.5418 Å)).
Intensities are scaled so that the largest is 100.

Top 10 peaks for 10 to 80 degrees two-theta, low angle first:
- 21.8°, intensity 6
- 26.8°, intensity 95
- 34.8°, intensity 8
- 44.5°, intensity 52
- 44.6°, intensity 100
- 52.7°, intensity 28
- 52.9°, intensity 12
- 64.7°, intensity 16
- 65.0°, intensity 7
- 71.5°, intensity 9

Atomic structure:
Lattice parameters (Å, degrees): 4.075 4.075 5.738 90.00 90.00 90.00
Positions (direct):
1 Ga 0.000 0.000 0.000
2 Cu 0.000 0.500 0.269
3 Cu 0.500 0.000 0.731
4 P 0.000 0.000 0.500
5 P 0.500 0.500 0.000
6 P 0.500 0.500 0.500

# 2
For Ga3Cu2P, the GGA-PBE geometry in OQMD gives the theoretical powder diffraction line list in this record (Cu Kα (λ = 1.5418 Å)).
Intensities are scaled so that the largest is 100.

Top 10 peaks for 10 to 80 degrees two-theta, low angle first:
- 26.6°, intensity 56
- 30.7°, intensity 12
- 31.0°, intensity 6
- 43.9°, intensity 51
- 44.2°, intensity 100
- 52.1°, intensity 17
- 52.5°, intensity 8
- 63.9°, intensity 16
- 64.7°, intensity 7
- 70.8°, intensity 6

Atomic structure:
Lattice parameters (Å, degrees): 4.122 4.122 5.764 90.00 90.00 90.00
Positions (direct):
1 Ga 0.000 0.000 0.000
2 Ga 0.000 0.000 0.500
3 Ga 0.500 0.500 0.000
4 Cu 0.000 0.500 0.260
5 Cu 0.500 0.000 0.740
6 P 0.500 0.500 0.500

# 3
For SmGa2CuPd2, the GGA-PBE geometry in OQMD gives the theoretical powder diffraction line list in this record (Cu Kα (λ = 1.5418 Å)).
Intensities are scaled so that the largest is 100.

Top 10 peaks for 10 to 80 degrees two-theta, low angle first:
- 20.5°, intensity 11
- 28.3°, intensity 17
- 33.8°, intensity 36
- 39.2°, intensity 18
- 39.8°, intensity 100
- 41.7°, intensity 26
- 44.6°, intensity 11
- 54.7°, intensity 18
- 64.4°, intensity 16
- 74.8°, intensity 16

Atomic structure:
Lattice parameters (Å, degrees): 5.307 5.307 4.334 90.00 90.00 119.89
Positions (direct):
1 Sm 0.000 0.000 0.000
2 Ga 0.000 0.500 0.500
3 Ga 0.500 0.000 0.500
4 Cu 0.500 0.500 0.500
5 Pd 0.333 0.667 0.000
6 Pd 0.667 0.333 0.000

# 4
For SmGaCu2Pd2, the GGA-PBE geometry in OQMD gives the theoretical powder diffraction line list in this record (Cu Kα (λ = 1.5418 Å)).
Intensities are scaled so that the largest is 100.

Top 10 peaks for 10 to 80 degrees two-theta, low angle first:
- 20.6°, intensity 18
- 28.5°, intensity 17
- 33.9°, intensity 19
- 34.4°, intensity 35
- 39.6°, intensity 18
- 40.0°, intensity 57
- 40.4°, intensity 100
- 42.0°, intensity 39
- 55.3°, intensity 18
- 65.1°, intensity 24

Atomic structure:
Lattice parameters (Å, degrees): 5.220 5.220 4.307 90.00 90.00 119.19
Positions (direct):
1 Sm 0.000 0.000 0.000
2 Ga 0.500 0.500 0.500
3 Cu 0.000 0.500 0.500
4 Cu 0.500 0.000 0.500
5 Pd 0.335 0.665 0.000
6 Pd 0.665 0.335 0.000

# 5
For SrGa5CuPt, the GGA-PBE geometry in OQMD gives the theoretical powder diffraction line list in this record (Cu Kα (λ = 1.5418 Å)).
Intensities are scaled so that the largest is 100.

Top 10 peaks for 10 to 80 degrees two-theta, low angle first:
- 15.0°, intensity 54
- 30.6°, intensity 70
- 33.9°, intensity 100
- 34.6°, intensity 76
- 43.0°, intensity 62
- 43.8°, intensity 78
- 43.9°, intensity 58
- 44.1°, intensity 48
- 46.8°, intensity 48
- 63.7°, intensity 50

Atomic structure:
Lattice parameters (Å, degrees): 6.541 6.541 6.541 143.22 111.79 80.08
Positions (direct):
1 Sr 0.000 0.000 0.000
2 Ga 0.160 0.348 0.812
3 Ga 0.457 0.651 0.806
4 Ga 0.490 0.990 0.500
5 Ga 0.536 0.348 0.188
6 Ga 0.845 0.651 0.194
7 Cu 0.253 0.753 0.500
8 Pt 0.737 0.237 0.500

# 6
For TbGa2CuPt, the GGA-PBE geometry in OQMD gives the theoretical powder diffraction line list in this record (Cu Kα (λ = 1.5418 Å)).
Intensities are scaled so that the largest is 100.

Top 10 peaks for 10 to 80 degrees two-theta, low angle first:
- 27.3°, intensity 24
- 30.3°, intensity 50
- 33.5°, intensity 89
- 34.9°, intensity 100
- 43.4°, intensity 77
- 46.4°, intensity 22
- 48.7°, intensity 52
- 55.9°, intensity 42
- 63.0°, intensity 25
- 67.2°, intensity 40

Atomic structure:
Lattice parameters (Å, degrees): 4.172 4.172 10.467 90.00 90.00 90.00
Positions (direct):
1 Tb 0.250 0.250 0.246
2 Tb 0.750 0.750 0.754
3 Ga 0.250 0.250 0.878
4 Ga 0.250 0.750 0.500
5 Ga 0.750 0.250 0.500
6 Ga 0.750 0.750 0.122
7 Cu 0.250 0.750 0.000
8 Cu 0.750 0.250 0.000
9 Pt 0.250 0.250 0.641
10 Pt 0.750 0.750 0.359

# 7
For GaCuTcPt, the GGA-PBE geometry in OQMD gives the theoretical powder diffraction line list in this record (Cu Kα (λ = 1.5418 Å)).
Intensities are scaled so that the largest is 100.

Top 9 peaks for 10 to 80 degrees two-theta, low angle first:
- 24.9°, intensity 20
- 28.8°, intensity 5
- 41.2°, intensity 100
- 48.8°, intensity 11
- 51.1°, intensity 1
- 59.7°, intensity 16
- 65.7°, intensity 5
- 67.7°, intensity 2
- 75.2°, intensity 33

Atomic structure:
Lattice parameters (Å, degrees): 4.378 4.378 4.378 60.00 60.00 60.00
Positions (direct):
1 Ga 0.000 0.000 0.000
2 Cu 0.250 0.250 0.250
3 Tc 0.500 0.500 0.500
4 Pt 0.750 0.750 0.750

# 8
For GaCu2Se2S, the GGA-PBE geometry in OQMD gives the theoretical powder diffraction line list in this record (Cu Kα (λ = 1.5418 Å)).
Intensities are scaled so that the largest is 100.

Top 10 peaks for 10 to 80 degrees two-theta, low angle first:
- 28.0°, intensity 34
- 28.2°, intensity 100
- 46.7°, intensity 62
- 47.0°, intensity 30
- 55.3°, intensity 9
- 55.5°, intensity 13
- 55.6°, intensity 18
- 55.7°, intensity 9
- 68.3°, intensity 9
- 75.5°, intensity 5

Atomic structure:
Lattice parameters (Å, degrees): 6.728 6.728 6.680 99.47 99.47 119.87
Positions (direct):
1 Ga 0.092 0.908 0.500
2 Ga 0.908 0.092 0.000
3 Cu 0.261 0.760 0.974
4 Cu 0.392 0.573 0.490
5 Cu 0.573 0.392 0.990
6 Cu 0.760 0.261 0.474
7 Se 0.295 0.466 0.113
8 Se 0.466 0.295 0.613
9 Se 0.779 0.953 0.609
10 Se 0.953 0.779 0.109
11 S 0.120 0.616 0.615
12 S 0.616 0.120 0.115

# 9
For GaCuSeS, the GGA-PBE geometry in OQMD gives the theoretical powder diffraction line list in this record (Cu Kα (λ = 1.5418 Å)).
Intensities are scaled so that the largest is 100.

Top 10 peaks for 10 to 80 degrees two-theta, low angle first:
- 28.1°, intensity 100
- 28.2°, intensity 34
- 37.4°, intensity 8
- 46.6°, intensity 31
- 46.8°, intensity 31
- 47.0°, intensity 30
- 55.3°, intensity 18
- 55.4°, intensity 18
- 55.9°, intensity 9
- 68.0°, intensity 9

Atomic structure:
Lattice parameters (Å, degrees): 5.512 5.512 6.675 114.19 114.19 90.00
Positions (direct):
1 Ga 0.117 0.883 0.500
2 Ga 0.883 0.117 0.000
3 Cu 0.343 0.617 0.000
4 Cu 0.617 0.343 0.500
5 Se 0.493 0.737 0.750
6 Se 0.737 0.493 0.250
7 S 0.245 0.993 0.250
8 S 0.993 0.245 0.750

# 10
For GaCu2SeS2, the GGA-PBE geometry in OQMD gives the theoretical powder diffraction line list in this record (Cu Kα (λ = 1.5418 Å)).
Intensities are scaled so that the largest is 100.

Top 10 peaks for 10 to 80 degrees two-theta, low angle first:
- 28.6°, intensity 47
- 28.8°, intensity 100
- 28.9°, intensity 49
- 47.7°, intensity 62
- 47.9°, intensity 21
- 48.0°, intensity 42
- 56.6°, intensity 19
- 56.7°, intensity 12
- 56.9°, intensity 37
- 69.9°, intensity 12

Atomic structure:
Lattice parameters (Å, degrees): 6.590 6.590 6.558 99.55 99.55 119.78
Positions (direct):
1 Ga 0.092 0.908 0.500
2 Ga 0.908 0.092 0.000
3 Cu 0.251 0.734 0.976
4 Cu 0.377 0.543 0.475
5 Cu 0.543 0.377 0.975
6 Cu 0.734 0.251 0.476
7 Se 0.766 0.940 0.605
8 Se 0.940 0.766 0.105
9 S 0.110 0.602 0.610
10 S 0.282 0.450 0.110
11 S 0.450 0.282 0.610
12 S 0.602 0.110 0.110

# 11
For Ga2CuSe2S2, the GGA-PBE geometry in OQMD gives the theoretical powder diffraction line list in this record (Cu Kα (λ = 1.5418 Å)).
Intensities are scaled so that the largest is 100.

Top 10 peaks for 10 to 80 degrees two-theta, low angle first:
- 16.6°, intensity 14
- 23.5°, intensity 19
- 28.5°, intensity 100
- 28.9°, intensity 83
- 46.9°, intensity 23
- 47.7°, intensity 42
- 48.0°, intensity 40
- 48.2°, intensity 19
- 56.6°, intensity 13
- 57.2°, intensity 26

Atomic structure:
Lattice parameters (Å, degrees): 6.541 6.541 5.382 113.65 113.65 109.40
Positions (direct):
1 Ga 0.000 0.000 0.000
2 Ga 0.761 0.239 0.500
3 Cu 0.496 0.504 0.000
4 Se 0.370 0.101 0.509
5 Se 0.899 0.630 0.491
6 S 0.129 0.377 0.005
7 S 0.623 0.871 0.995

# 12
For GaCuTeS, the GGA-PBE geometry in OQMD gives the theoretical powder diffraction line list in this record (Cu Kα (λ = 1.5418 Å)).
Intensities are scaled so that the largest is 100.

Top 10 peaks for 10 to 80 degrees two-theta, low angle first:
- 22.0°, intensity 15
- 27.1°, intensity 100
- 35.1°, intensity 9
- 38.9°, intensity 10
- 44.8°, intensity 25
- 45.0°, intensity 22
- 45.2°, intensity 21
- 53.0°, intensity 15
- 53.3°, intensity 13
- 53.6°, intensity 12

Atomic structure:
Lattice parameters (Å, degrees): 6.953 6.953 6.953 131.62 131.24 71.13
Positions (direct):
1 Ga 0.135 0.385 0.750
2 Ga 0.365 0.115 0.250
3 Cu 0.652 0.902 0.750
4 Cu 0.848 0.598 0.250
5 Te 0.250 0.523 0.273
6 Te 0.750 0.977 0.227
7 S 0.006 0.750 0.756
8 S 0.494 0.250 0.744

# 13
For GaCuTeS, the GGA-PBE geometry in OQMD gives the theoretical powder diffraction line list in this record (Cu Kα (λ = 1.5418 Å)).
Intensities are scaled so that the largest is 100.

Top 10 peaks for 10 to 80 degrees two-theta, low angle first:
- 27.0°, intensity 52
- 27.2°, intensity 100
- 27.3°, intensity 48
- 28.5°, intensity 16
- 36.1°, intensity 21
- 44.9°, intensity 44
- 45.0°, intensity 47
- 45.4°, intensity 46
- 53.1°, intensity 26
- 53.4°, intensity 26

Atomic structure:
Lattice parameters (Å, degrees): 5.715 5.715 6.894 114.03 114.03 89.99
Positions (direct):
1 Ga 0.106 0.894 0.500
2 Ga 0.894 0.106 0.000
3 Cu 0.307 0.605 0.001
4 Cu 0.605 0.307 0.501
5 Te 0.481 0.720 0.751
6 Te 0.720 0.481 0.251
7 S 0.237 0.982 0.250
8 S 0.982 0.237 0.750

# 14
For Ga2Cu2Te3S, the GGA-PBE geometry in OQMD gives the theoretical powder diffraction line list in this record (Cu Kα (λ = 1.5418 Å)).
Intensities are scaled so that the largest is 100.

Top 10 peaks for 10 to 80 degrees two-theta, low angle first:
- 26.1°, intensity 100
- 26.3°, intensity 99
- 43.2°, intensity 69
- 43.5°, intensity 46
- 43.7°, intensity 23
- 51.0°, intensity 14
- 51.2°, intensity 14
- 51.3°, intensity 14
- 51.5°, intensity 14
- 51.9°, intensity 14

Atomic structure:
Lattice parameters (Å, degrees): 7.171 7.171 5.923 113.81 113.81 48.78
Positions (direct):
1 Ga 0.119 0.119 0.389
2 Ga 0.881 0.881 0.611
3 Cu 0.340 0.431 0.160
4 Cu 0.569 0.660 0.840
5 Te 0.480 0.020 0.234
6 Te 0.723 0.277 0.000
7 Te 0.980 0.520 0.766
8 S 0.235 0.765 0.500

# 15
For ScGa6Cu6, the GGA-PBE geometry in OQMD gives the theoretical powder diffraction line list in this record (Cu Kα (λ = 1.5418 Å)).
Intensities are scaled so that the largest is 100.

Top 10 peaks for 10 to 80 degrees two-theta, low angle first:
- 35.8°, intensity 36
- 41.0°, intensity 44
- 41.2°, intensity 38
- 42.0°, intensity 92
- 42.3°, intensity 27
- 43.0°, intensity 39
- 46.5°, intensity 100
- 47.4°, intensity 42
- 47.9°, intensity 31
- 75.9°, intensity 24

Atomic structure:
Lattice parameters (Å, degrees): 6.546 6.546 6.546 133.90 99.97 97.67
Positions (direct):
1 Sc 0.000 0.000 0.000
2 Ga 0.182 0.682 0.500
3 Ga 0.343 0.343 0.000
4 Ga 0.344 0.000 0.344
5 Ga 0.656 0.000 0.656
6 Ga 0.657 0.657 0.000
7 Ga 0.818 0.318 0.500
8 Cu 0.000 0.000 0.500
9 Cu 0.000 0.500 0.000
10 Cu 0.237 0.500 0.737
11 Cu 0.500 0.000 0.000
12 Cu 0.500 0.500 0.500
13 Cu 0.763 0.500 0.263